(1)
For Tl3SnAs2O8, a crystal structure in Alexandria, relaxed with PBE gives the calculated powder XRD pattern in this record (Cu Kα (λ = 1.5418 Å)).
Intensities are scaled so that the largest is 100.

Structural model:
```
Tl3SnAs2O8
1.0
5.9203 0.0000 0.0000
-2.9602 5.1272 0.0000
0.0000 0.0000 8.2187
Tl Sn As O
3 1 2 8
Direct
0.0000 0.0000 0.0000 Tl
0.3333 0.6667 0.7546 Tl
0.6667 0.3333 0.2454 Tl
0.0000 0.0000 0.5000 Sn
0.3333 0.6667 0.2713 As
0.6667 0.3333 0.7287 As
0.1708 0.3416 0.3383 O
0.1708 0.8292 0.3383 O
0.3333 0.6667 0.0643 O
0.3416 0.1708 0.6617 O
0.6584 0.8292 0.3383 O
0.6667 0.3333 0.9357 O
0.8292 0.1708 0.6617 O
0.8292 0.6584 0.6617 O
```

Principal peaks in the range 2θ = 10–80°, low angle first:
20.42 deg, I 20
27.82 deg, I 100
30.19 deg, I 93
41.52 deg, I 38
52.19 deg, I 36
53.63 deg, I 19
54.35 deg, I 36
62.78 deg, I 15
70.01 deg, I 15
71.85 deg, I 16

(2)
For Sr3As2O8, a crystal structure in Alexandria, relaxed with PBE gives the calculated powder XRD pattern in this record (Cu Kα (λ = 1.5418 Å)).
Intensities are scaled so that the largest is 100.

Structural model:
```
Sr3As2O8
1.0
9.9515 0.0000 0.0000
0.0000 12.2229 0.0000
-0.8294 0.0000 7.1106
Sr As O
12 8 32
Direct
0.0422 0.1243 0.1780 Sr
0.0422 0.3757 0.6780 Sr
0.3043 0.1077 0.6493 Sr
0.3043 0.3923 0.1493 Sr
0.3303 0.6666 0.6238 Sr
0.3303 0.8334 0.1238 Sr
0.6697 0.1666 0.8762 Sr
0.6697 0.3334 0.3762 Sr
0.6957 0.6077 0.8507 Sr
0.6957 0.8923 0.3507 Sr
0.9578 0.6243 0.3220 Sr
0.9578 0.8757 0.8220 Sr
0.0821 0.6336 0.8965 As
0.0821 0.8664 0.3965 As
0.3970 0.1057 0.1763 As
0.3970 0.3943 0.6763 As
0.6030 0.6057 0.3237 As
0.6030 0.8943 0.8237 As
0.9179 0.1336 0.6035 As
0.9179 0.3664 0.1035 As
0.0683 0.1865 0.5448 O
0.0683 0.3135 0.0448 O
0.0727 0.5747 0.6754 O
0.0727 0.9253 0.1754 O
0.1473 0.5510 0.0761 O
0.1473 0.9490 0.5761 O
0.1823 0.7472 0.8678 O
0.1823 0.7528 0.3678 O
0.2882 0.1733 0.3089 O
0.2882 0.3267 0.8089 O
0.2970 0.0554 0.9823 O
0.2970 0.4446 0.4823 O
0.4656 0.5096 0.7893 O
0.4656 0.9904 0.2893 O
0.4843 0.7029 0.3699 O
0.4843 0.7971 0.8699 O
0.5157 0.2029 0.1301 O
0.5157 0.2971 0.6301 O
0.5344 0.0096 0.7107 O
0.5344 0.4904 0.2107 O
0.7030 0.5554 0.5177 O
0.7030 0.9446 0.0177 O
0.7118 0.6733 0.1911 O
0.7118 0.8267 0.6911 O
0.8177 0.2472 0.6322 O
0.8177 0.2528 0.1322 O
0.8527 0.0510 0.4239 O
0.8527 0.4490 0.9239 O
0.9273 0.0747 0.8246 O
0.9273 0.4253 0.3246 O
0.9317 0.6865 0.9552 O
0.9317 0.8135 0.4552 O
```

Principal peaks in the range 2θ = 10–80°, low angle first:
17.74 deg, I 30
25.63 deg, I 28
26.10 deg, I 27
27.06 deg, I 31
27.33 deg, I 100
28.39 deg, I 25
29.22 deg, I 79
29.45 deg, I 45
32.11 deg, I 33
33.47 deg, I 30

(3)
For Sr4As2O, a crystal structure in Alexandria, relaxed with PBE gives the calculated powder XRD pattern in this record (Cu Kα (λ = 1.5418 Å)).
Intensities are scaled so that the largest is 100.

Structural model:
```
Sr4As2O
1.0
-2.4413 2.4413 8.2299
2.4413 -2.4413 8.2299
2.4413 2.4413 -8.2299
Sr As O
4 2 1
Direct
0.0000 0.5000 0.5000 Sr
0.1738 0.1738 0.0000 Sr
0.5000 0.0000 0.5000 Sr
0.8262 0.8262 0.0000 Sr
0.3639 0.3639 0.0000 As
0.6361 0.6361 0.0000 As
0.0000 0.0000 0.0000 O
```

Principal peaks in the range 2θ = 10–80°, low angle first:
25.81 deg, I 22
28.03 deg, I 97
32.64 deg, I 37
32.81 deg, I 33
33.89 deg, I 100
36.82 deg, I 81
50.01 deg, I 43
53.05 deg, I 27
61.06 deg, I 22
64.46 deg, I 31

(4)
For Sr3As2O8, a crystal structure in Alexandria, relaxed with PBE gives the calculated powder XRD pattern in this record (Cu Kα (λ = 1.5418 Å)).
Intensities are scaled so that the largest is 100.

Structural model:
```
Sr3As2O8
1.0
7.1092 0.0000 0.0000
0.0000 10.0116 0.0000
-1.3515 0.0000 12.5284
Sr As O
12 8 32
Direct
0.1120 0.1801 0.4443 Sr
0.1120 0.3199 0.9443 Sr
0.2238 0.6559 0.8345 Sr
0.2238 0.8441 0.3345 Sr
0.3775 0.0466 0.8596 Sr
0.3775 0.4534 0.3596 Sr
0.6225 0.5466 0.6404 Sr
0.6225 0.9534 0.1404 Sr
0.7762 0.1559 0.6655 Sr
0.7762 0.3441 0.1655 Sr
0.8880 0.6801 0.0557 Sr
0.8880 0.8199 0.5557 Sr
0.1107 0.0527 0.1394 As
0.1107 0.4473 0.6394 As
0.3786 0.5916 0.1211 As
0.3786 0.9084 0.6211 As
0.6214 0.0916 0.3789 As
0.6214 0.4084 0.8789 As
0.8893 0.5527 0.3606 As
0.8893 0.9473 0.8606 As
0.0204 0.0940 0.8513 O
0.0204 0.4060 0.3513 O
0.0226 0.6826 0.4158 O
0.0226 0.8174 0.9158 O
0.1820 0.0841 0.2716 O
0.1820 0.4159 0.7716 O
0.1946 0.5619 0.0203 O
0.1946 0.9381 0.5203 O
0.2829 0.6509 0.2318 O
0.2829 0.8491 0.7318 O
0.3037 0.0332 0.0676 O
0.3037 0.4668 0.5676 O
0.4576 0.0644 0.6636 O
0.4576 0.4356 0.1636 O
0.4698 0.2074 0.4245 O
0.4698 0.2926 0.9245 O
0.5302 0.7074 0.0755 O
0.5302 0.7926 0.5755 O
0.5424 0.5644 0.8364 O
0.5424 0.9356 0.3364 O
0.6963 0.5332 0.4324 O
0.6963 0.9668 0.9324 O
0.7171 0.1509 0.2682 O
0.7171 0.3491 0.7682 O
0.8054 0.0619 0.4797 O
0.8054 0.4381 0.9797 O
0.8180 0.5841 0.2284 O
0.8180 0.9159 0.7284 O
0.9774 0.1826 0.0842 O
0.9774 0.3174 0.5842 O
0.9796 0.5940 0.6487 O
0.9796 0.9060 0.1487 O
```

Principal peaks in the range 2θ = 10–80°, low angle first:
21.81 deg, I 60
23.32 deg, I 37
26.77 deg, I 36
26.98 deg, I 100
27.66 deg, I 66
28.45 deg, I 99
29.63 deg, I 65
29.90 deg, I 34
32.34 deg, I 32
36.17 deg, I 41

(5)
For Sr3As2O8, a crystal structure in Alexandria, relaxed with PBE gives the calculated powder XRD pattern in this record (Cu Kα (λ = 1.5418 Å)).
Intensities are scaled so that the largest is 100.

Structural model:
```
Sr3As2O8
1.0
5.9284 0.0000 0.0000
0.0000 10.3203 0.0000
-5.7617 0.0000 8.6380
Sr As O
6 4 16
Direct
0.0000 0.0000 0.0000 Sr
0.0000 0.5000 0.5000 Sr
0.0694 0.1452 0.6374 Sr
0.0694 0.3548 0.1374 Sr
0.9306 0.6452 0.8626 Sr
0.9306 0.8548 0.3626 Sr
0.3139 0.6918 0.2899 As
0.3139 0.8082 0.7899 As
0.6861 0.1918 0.2101 As
0.6861 0.3082 0.7101 As
0.1616 0.5863 0.1350 O
0.1616 0.9137 0.6350 O
0.1928 0.6522 0.7331 O
0.1928 0.8478 0.2331 O
0.2280 0.6491 0.4180 O
0.2280 0.8509 0.9180 O
0.3425 0.1840 0.1258 O
0.3425 0.3160 0.6258 O
0.6575 0.6840 0.3742 O
0.6575 0.8160 0.8742 O
0.7720 0.1491 0.0820 O
0.7720 0.3509 0.5820 O
0.8072 0.1522 0.7669 O
0.8072 0.3478 0.2669 O
0.8384 0.0863 0.3650 O
0.8384 0.4137 0.8650 O
```

Principal peaks in the range 2θ = 10–80°, low angle first:
17.22 deg, I 38
17.99 deg, I 60
18.32 deg, I 30
19.95 deg, I 33
22.31 deg, I 100
26.92 deg, I 43
27.19 deg, I 31
30.03 deg, I 98
30.15 deg, I 52
30.73 deg, I 42

(6)
For SrAs3O9, a crystal structure in Alexandria, relaxed with PBE gives the calculated powder XRD pattern in this record (Cu Kα (λ = 1.5418 Å)).
Intensities are scaled so that the largest is 100.

Structural model:
```
SrAs3O9
1.0
4.7752 -5.8998 0.0000
4.7752 5.8998 0.0000
0.0000 0.0000 7.9061
Sr As O
2 6 18
Direct
0.1057 0.1057 0.0000 Sr
0.8943 0.8943 0.5000 Sr
0.2392 0.2392 0.5000 As
0.3264 0.6532 0.9533 As
0.3468 0.6736 0.5467 As
0.6532 0.3264 0.0467 As
0.6736 0.3468 0.4533 As
0.7608 0.7608 0.0000 As
0.1230 0.1676 0.6753 O
0.1676 0.1230 0.3247 O
0.1867 0.7937 0.9574 O
0.2063 0.8133 0.5426 O
0.2398 0.4702 0.4475 O
0.2531 0.4461 0.0440 O
0.4012 0.5988 0.7500 O
0.4461 0.2531 0.9560 O
0.4702 0.2398 0.5525 O
0.5298 0.7602 0.0525 O
0.5539 0.7469 0.4560 O
0.5988 0.4012 0.2500 O
0.7469 0.5539 0.5440 O
0.7602 0.5298 0.9475 O
0.7937 0.1867 0.0426 O
0.8133 0.2063 0.4574 O
0.8324 0.8770 0.8247 O
0.8770 0.8324 0.1753 O
```

Principal peaks in the range 2θ = 10–80°, low angle first:
15.02 deg, I 33
16.38 deg, I 22
18.58 deg, I 20
22.49 deg, I 100
23.97 deg, I 38
24.48 deg, I 79
31.22 deg, I 45
33.11 deg, I 26
33.48 deg, I 37
45.33 deg, I 26

(7)
For SrTbAs2O8, a crystal structure in Alexandria, relaxed with PBE gives the calculated powder XRD pattern in this record (Cu Kα (λ = 1.5418 Å)).
Intensities are scaled so that the largest is 100.

Structural model:
```
SrTbAs2O8
1.0
-2.5887 2.5887 5.8991
2.5887 -2.5887 5.8991
2.5887 2.5887 -5.8991
Sr Tb As O
1 1 2 8
Direct
0.0000 0.0000 0.0000 Sr
0.2500 0.7500 0.5000 Tb
0.5000 0.5000 0.0000 As
0.7500 0.2500 0.5000 As
0.2960 0.6670 0.1265 O
0.3330 0.4595 0.6290 O
0.4283 0.0297 0.1034 O
0.5405 0.1695 0.8735 O
0.6751 0.5717 0.6013 O
0.8305 0.7040 0.3710 O
0.9262 0.3249 0.8966 O
0.9703 0.0738 0.3987 O
```

Principal peaks in the range 2θ = 10–80°, low angle first:
18.72 deg, I 9
28.70 deg, I 100
30.30 deg, I 17
34.65 deg, I 20
46.69 deg, I 29
49.81 deg, I 12
52.85 deg, I 18
58.50 deg, I 27
59.43 deg, I 12
75.57 deg, I 13